Structure and simulated PXRD pattern of Sm2Si2O7 (the GGA-PBE geometry in Alexandria; λ = 1.5418 Å (Cu Kα)).
Intensities are scaled so that the largest is 100.

Peak list (10 most intense, 5 to 70 degrees two-theta, sorted by position)
2θ (°), I/Imax, hkl
19.21, 20, 1 1 0
22.10, 22, 1 1 1
25.71, 17, 1 1 -3
26.80, 38, 1 1 2
27.37, 100, 0 2 1
29.43, 42, 0 0 4
29.94, 24, 2 1 -1
30.48, 31, 2 1 -2
31.31, 17, 1 1 -4
46.03, 35, 0 2 5

Unit cell a=6.661 b=6.769 c=12.789 alpha=90.00 beta=108.33 gamma=90.00
Atoms (fractional coordinates):
Sm: 0.028 0.109 0.362
Sm: 0.028 0.391 0.862
Sm: 0.350 0.175 0.153
Sm: 0.350 0.325 0.653
Sm: 0.650 0.675 0.347
Sm: 0.650 0.825 0.847
Sm: 0.972 0.609 0.138
Sm: 0.972 0.891 0.638
Si: 0.209 0.580 0.390
Si: 0.209 0.920 0.890
Si: 0.396 0.672 0.085
Si: 0.396 0.828 0.585
Si: 0.604 0.172 0.415
Si: 0.604 0.328 0.915
Si: 0.791 0.080 0.110
Si: 0.791 0.420 0.610
O: 0.001 0.722 0.333
O: 0.001 0.778 0.833
O: 0.163 0.105 0.959
O: 0.163 0.395 0.459
O: 0.224 0.013 0.550
O: 0.224 0.487 0.050
O: 0.290 0.671 0.650
O: 0.290 0.829 0.150
O: 0.297 0.514 0.289
O: 0.297 0.986 0.789
O: 0.374 0.091 0.340
O: 0.374 0.409 0.840
O: 0.405 0.720 0.469
O: 0.405 0.780 0.969
O: 0.595 0.220 0.031
O: 0.595 0.280 0.531
O: 0.626 0.591 0.160
O: 0.626 0.909 0.660
O: 0.703 0.014 0.211
O: 0.703 0.486 0.711
O: 0.710 0.171 0.850
O: 0.710 0.329 0.350
O: 0.776 0.513 0.950
O: 0.776 0.987 0.450
O: 0.837 0.605 0.541
O: 0.837 0.895 0.041
O: 0.999 0.222 0.167
O: 0.999 0.278 0.667